[1]
Structure and theoretical powder diffractogram of ErSnPd (a structure optimized by DFT (PBE); λ = 1.5418 Å (Cu Kα)).
Neutral-atom scattering factors, no anomalous dispersion.

Structure:
Unit cell a=7.051 b=4.657 c=8.006 alpha=90.00 beta=90.00 gamma=90.00
Space group Pnma (No. 62)
Symmetry-distinct sites (fractional):
Er 0.006 0.250 0.218 x4
Sn 0.204 0.250 0.585 x4
Pd 0.222 0.750 0.417 x4

The 8 most intense peaks (2θ = 5–70°), sorted by position:
- 2θ 32.1, I 14, hkl 1 1 2
- 2θ 33.8, I 100, hkl 2 1 1
- 2θ 38.7, I 27, hkl 0 2 0
- 2θ 38.9, I 45, hkl 0 1 3
- 2θ 52.3, I 18, hkl 2 2 2
- 2θ 64.3, I 9, hkl 3 1 4
- 2θ 66.7, I 10, hkl 4 1 3
- 2θ 66.9, I 10, hkl 2 3 1



[2]
Structure and theoretical powder diffractogram of ErSnPd (a structure optimized by DFT (PBE); λ = 1.5418 Å (Cu Kα)).
Neutral-atom scattering factors, no anomalous dispersion.

Structure:
Unit cell a=7.6321 b=7.6321 c=3.8581 alpha=90.00 beta=90.00 gamma=120.00
Space group P-62m (No. 189)
Symmetry-distinct sites (fractional):
Er 0.0000 0.5951 0.0000 x3
Sn 0.0000 0.2608 0.5000 x3
Pd 0.0000 0.0000 0.0000 x1
Pd 0.3333 0.6667 0.5000 x2

The 8 most intense peaks (2θ = 5–70°), sorted by position:
- 2θ 33.0, I 100, hkl 1 1 1
- 2θ 35.8, I 80, hkl 2 0 1
- 2θ 35.9, I 45, hkl 2 1 0
- 2θ 41.0, I 38, hkl 3 0 0
- 2θ 47.1, I 22, hkl 0 0 2
- 2θ 60.7, I 20, hkl 2 1 2
- 2θ 64.2, I 20, hkl 3 0 2
- 2θ 66.2, I 31, hkl 3 2 1